This entry pairs a crystal structure of La2MgP3Rh4 with its calculated X-ray powder pattern. Radiation: Cu Ka. Structure: a PBE-relaxed structure.

Lattice parameters (Å, degrees): 4.0715 4.0715 10.6226 90.00 90.00 90.00
Space group P-4m2 (No. 115)
Unique sites:
La  0.0000  0.5000  0.2458 (multiplicity 2)
Mg  0.0000  0.0000  0.5000 (multiplicity 1)
P  0.0000  0.5000  0.8720 (multiplicity 2)
P  0.5000  0.5000  0.5000 (multiplicity 1)
Rh  0.0000  0.0000  0.0000 (multiplicity 1)
Rh  0.0000  0.5000  0.6511 (multiplicity 2)
Rh  0.5000  0.5000  0.0000 (multiplicity 1)

Largest 12 diffraction maxima, in order of rising 2θ, 2θ from 15° to 90°:
d = 3.541 Å, 25.2 deg, rel. 13.7
d = 3.231 Å, 27.6 deg, rel. 12.0
d = 2.879 Å, 31.1 deg, rel. 14.8
d = 2.779 Å, 32.2 deg, rel. 18.1
d = 2.672 Å, 33.5 deg, rel. 43.7
d = 2.531 Å, 35.5 deg, rel. 100.0
d = 2.036 Å, 44.5 deg, rel. 46.2
d = 1.884 Å, 48.3 deg, rel. 30.8
d = 1.619 Å, 56.9 deg, rel. 18.9
d = 1.439 Å, 64.8 deg, rel. 14.8
d = 1.383 Å, 67.8 deg, rel. 22.0
d = 1.251 Å, 76.1 deg, rel. 20.9



This entry pairs a crystal structure of LaPrMgPa with its calculated X-ray powder pattern. Radiation: Cu Ka. Structure: a PBE-relaxed structure.

Lattice parameters (Å, degrees): 7.8402 7.8402 7.8402 90.00 90.00 90.00
Space group F-43m (No. 216)
Unique sites:
La  0.0000  0.0000  0.0000 (multiplicity 4)
Pr  0.0000  0.0000  0.5000 (multiplicity 4)
Mg  0.2500  0.2500  0.7500 (multiplicity 4)
Pa  0.2500  0.2500  0.2500 (multiplicity 4)

Largest 12 diffraction maxima, in order of rising 2θ, 2θ from 15° to 90°:
d = 4.527 Å, 19.6 deg, rel. 31.4
d = 2.772 Å, 32.3 deg, rel. 100.0
d = 2.364 Å, 38.1 deg, rel. 18.4
d = 1.960 Å, 46.3 deg, rel. 18.5
d = 1.799 Å, 50.8 deg, rel. 8.3
d = 1.600 Å, 57.6 deg, rel. 38.9
d = 1.509 Å, 61.5 deg, rel. 6.4
d = 1.386 Å, 67.6 deg, rel. 12.0
d = 1.325 Å, 71.1 deg, rel. 6.3
d = 1.240 Å, 76.9 deg, rel. 16.7
d = 1.132 Å, 85.9 deg, rel. 4.3
d = 1.098 Å, 89.2 deg, rel. 3.7